[1]
This entry pairs a crystal structure of PaSnGe2Rh5 with its computed powder XRD pattern. Radiation: CuKα. Structure: a cell relaxed with PBE.

abc: 4.139 4.139 8.788
angles: 90.00 90.00 90.00
Space group P4/mmm (No. 123)
One atom of each set of equivalent atoms:
Pa  0.000  0.000  0.000 (multiplicity 1)
Sn  0.000  0.000  0.500 (multiplicity 1)
Ge  0.500  0.500  0.139 (multiplicity 2)
Rh  0.000  0.500  0.278 (multiplicity 4)
Rh  0.500  0.500  0.500 (multiplicity 1)

Main lines, sorted by position (10° ≤ 2θ ≤ 90°):
(hkl), 2θ (°), intensity
1 0 2, 29.7, 187
1 1 2, 36.9, 1000
1 0 3, 37.6, 162
0 0 4, 41.1, 110
2 0 0, 43.7, 590
1 0 4, 46.8, 112
2 0 4, 61.6, 159
2 2 0, 63.6, 166
1 1 6, 72.1, 122
3 1 2, 75.8, 258



[2]
This entry pairs a crystal structure of PrSn5 with its computed powder XRD pattern. Radiation: CuKα. Structure: a cell relaxed with PBE.

abc: 4.593 6.813 10.861
angles: 90.00 90.00 90.00
Space group Immm (No. 71)
One atom of each set of equivalent atoms:
Pr  0.000  0.000  0.000 (multiplicity 2)
Sn  0.000  0.220  0.338 (multiplicity 8)
Sn  0.000  0.500  0.000 (multiplicity 2)

Main lines, sorted by position (10° ≤ 2θ ≤ 90°):
(hkl), 2θ (°), intensity
0 2 2, 31.0, 406
1 0 3, 31.5, 1000
1 2 1, 33.8, 745
2 0 0, 39.2, 279
0 2 4, 42.6, 225
0 0 6, 50.4, 135
2 2 2, 50.8, 208
0 4 0, 53.9, 227
2 2 4, 59.3, 173
1 4 3, 63.7, 189



[3]
This entry pairs a crystal structure of Sm5Ho2Tm12 with its computed powder XRD pattern. Radiation: CuKα. Structure: a cell relaxed with PBE.

abc: 6.109 9.338 10.579
angles: 101.03 95.62 90.03
Space group P-1 (No. 2)
One atom of each set of equivalent atoms:
Sm  0.000  0.000  0.000 (multiplicity 1)
Sm  0.158  0.632  0.947 (multiplicity 2)
Sm  0.263  0.053  0.579 (multiplicity 2)
Ho  0.420  0.682  0.526 (multiplicity 2)
Tm  0.054  0.212  0.316 (multiplicity 2)
Tm  0.104  0.422  0.631 (multiplicity 2)
Tm  0.211  0.841  0.263 (multiplicity 2)
Tm  0.317  0.263  0.895 (multiplicity 2)
Tm  0.369  0.473  0.211 (multiplicity 2)
Tm  0.474  0.894  0.842 (multiplicity 2)

Main lines, sorted by position (10° ≤ 2θ ≤ 90°):
(hkl), 2θ (°), intensity
2 1 -1, 31.0, 1000
1 0 3, 31.1, 332
1 3 1, 36.0, 674
2 4 -3, 51.8, 320
3 1 2, 51.9, 159
4 -1 0, 61.6, 333
3 4 0, 61.7, 237
4 2 -2, 64.7, 82
2 0 6, 64.8, 82
4 0 -7, 87.4, 131



[4]
This entry pairs a crystal structure of Cs6Rb3Ag2 with its computed powder XRD pattern. Radiation: CuKα. Structure: a cell relaxed with PBE.

abc: 7.376 7.376 34.127
angles: 90.00 90.00 90.00
Space group I4/mmm (No. 139)
One atom of each set of equivalent atoms:
Cs  0.000  0.000  0.172 (multiplicity 4)
Cs  0.000  0.500  0.076 (multiplicity 8)
Rb  0.000  0.000  0.312 (multiplicity 4)
Rb  0.000  0.000  0.500 (multiplicity 2)
Ag  0.000  0.000  0.042 (multiplicity 4)

Main lines, sorted by position (10° ≤ 2θ ≤ 90°):
(hkl), 2θ (°), intensity
1 0 1, 12.3, 160
1 1 2, 17.8, 166
0 0 8, 20.8, 217
1 1 6, 23.1, 1000
2 0 0, 24.1, 780
2 0 8, 32.1, 291
2 2 0, 34.4, 309
1 1 14, 40.9, 202
3 1 6, 41.9, 409
3 1 14, 54.4, 175